# 1
For Dy3ErTl2N2, a crystal structure in OQMD, relaxed with PBE gives the simulated powder diffractogram in this record (λ = 1.5418 Å (Cu Kα)).
Intensities are scaled so that the largest is 100.

Principal peaks in the range 2θ = 5–70°, by intensity:
2theta, I (rel.)
34.00, 100
29.27, 22
63.64, 21
51.91, 21
34.20, 21
61.10, 19
63.51, 17
45.62, 16
60.71, 3
31.45, 1

Structure:
abc: 3.523 3.523 15.731
angles: 90.00 90.00 120.00
Fractional coordinates of all 8 atoms:
Dy 0.000 0.000 0.000
Dy 0.000 0.000 0.332
Dy 0.667 0.333 0.831
Er 0.667 0.333 0.500
Tl 0.000 0.000 0.665
Tl 0.667 0.333 0.166
N 0.333 0.667 0.418
N 0.333 0.667 0.916



# 2
For DyErNi2Pb, a crystal structure in OQMD, relaxed with PBE gives the simulated powder diffractogram in this record (λ = 1.5418 Å (Cu Kα)).
Intensities are scaled so that the largest is 100.

Principal peaks in the range 2θ = 5–70°, by intensity:
2theta, I (rel.)
33.80, 100
35.10, 67
29.26, 53
58.76, 46
38.86, 31
45.56, 24
56.63, 21
49.68, 18
37.88, 16
64.80, 14

Structure:
abc: 3.670 7.398 7.398
angles: 31.22 90.00 90.00
Fractional coordinates of all 5 atoms:
Dy 0.000 0.000 0.000
Er 0.000 0.281 0.281
Ni 0.500 0.439 0.439
Ni 0.500 0.840 0.840
Pb 0.500 0.641 0.641



# 3
For Dy5Er2Ni2Se2, a crystal structure in OQMD, relaxed with PBE gives the simulated powder diffractogram in this record (λ = 1.5418 Å (Cu Kα)).
Intensities are scaled so that the largest is 100.

Principal peaks in the range 2θ = 5–70°, by intensity:
2theta, I (rel.)
34.91, 100
33.96, 66
31.02, 59
29.46, 50
35.38, 50
31.13, 32
48.04, 29
60.13, 26
37.49, 22
39.41, 20

Structure:
abc: 9.069 9.069 9.069
angles: 155.89 67.24 118.31
Fractional coordinates of all 11 atoms:
Dy 0.000 0.000 0.000
Dy 0.100 0.741 0.359
Dy 0.381 0.741 0.641
Dy 0.462 0.587 0.875
Dy 0.713 0.587 0.125
Er 0.067 0.383 0.683
Er 0.700 0.383 0.317
Ni 0.314 0.076 0.238
Ni 0.838 0.076 0.762
Se 0.339 0.339 0.000
Se 0.743 0.243 0.500



# 4
For Dy3Er2Tm2Ni2Se2, a crystal structure in OQMD, relaxed with PBE gives the simulated powder diffractogram in this record (λ = 1.5418 Å (Cu Kα)).
Intensities are scaled so that the largest is 100.

Principal peaks in the range 2θ = 5–70°, by intensity:
2theta, I (rel.)
35.09, 100
34.10, 65
31.16, 59
35.55, 47
31.28, 32
48.30, 28
29.66, 27
60.44, 25
29.52, 23
37.65, 21

Structure:
abc: 9.027 9.027 9.027
angles: 155.90 67.30 118.23
Fractional coordinates of all 11 atoms:
Dy 0.000 0.000 0.000
Dy 0.461 0.586 0.875
Dy 0.711 0.586 0.125
Er 0.068 0.383 0.685
Er 0.699 0.383 0.315
Tm 0.100 0.739 0.360
Tm 0.379 0.739 0.640
Ni 0.315 0.078 0.237
Ni 0.841 0.078 0.763
Se 0.337 0.337 0.000
Se 0.744 0.244 0.500



# 5
For Dy2ErTm4Ni2Se2, a crystal structure in OQMD, relaxed with PBE gives the simulated powder diffractogram in this record (λ = 1.5418 Å (Cu Kα)).
Intensities are scaled so that the largest is 100.

Principal peaks in the range 2θ = 5–70°, by intensity:
2theta, I (rel.)
35.15, 100
34.22, 66
31.17, 59
29.65, 51
35.60, 50
31.43, 31
48.21, 29
60.44, 26
53.10, 24
37.69, 21

Structure:
abc: 8.991 8.991 8.991
angles: 155.76 67.43 118.16
Fractional coordinates of all 11 atoms:
Dy 0.141 0.000 0.141
Dy 0.859 0.000 0.859
Er 0.757 0.257 0.500
Tm 0.222 0.848 0.375
Tm 0.458 0.642 0.816
Tm 0.473 0.848 0.625
Tm 0.826 0.642 0.184
Ni 0.076 0.336 0.741
Ni 0.595 0.336 0.259
Se 0.101 0.601 0.500
Se 0.500 0.500 0.000



# 6
For DyY4Er2Ni2Se2, a crystal structure in OQMD, relaxed with PBE gives the simulated powder diffractogram in this record (λ = 1.5418 Å (Cu Kα)).
Intensities are scaled so that the largest is 100.

Principal peaks in the range 2θ = 5–70°, by intensity:
2theta, I (rel.)
34.83, 100
33.89, 77
29.39, 67
35.27, 66
30.90, 59
31.13, 48
37.34, 38
39.27, 35
47.79, 35
11.15, 30

Structure:
abc: 9.077 9.077 9.077
angles: 155.79 67.42 118.16
Fractional coordinates of all 11 atoms:
Dy 0.000 0.000 0.000
Y 0.286 0.410 0.876
Y 0.534 0.410 0.124
Y 0.618 0.257 0.360
Y 0.897 0.257 0.640
Er 0.299 0.614 0.685
Er 0.930 0.614 0.315
Ni 0.162 0.923 0.239
Ni 0.685 0.923 0.761
Se 0.254 0.754 0.500
Se 0.660 0.660 0.000



# 7
For Dy3Er4Ni2Te2, a crystal structure in OQMD, relaxed with PBE gives the simulated powder diffractogram in this record (λ = 1.5418 Å (Cu Kα)).
Intensities are scaled so that the largest is 100.

Principal peaks in the range 2θ = 5–70°, by intensity:
2theta, I (rel.)
34.10, 100
33.09, 81
34.60, 77
30.44, 51
58.93, 31
47.28, 30
51.16, 24
28.90, 22
30.19, 22
36.73, 22

Structure:
abc: 9.326 9.326 9.326
angles: 156.21 66.77 118.64
Fractional coordinates of all 11 atoms:
Dy 0.000 0.000 0.000
Dy 0.084 0.731 0.353
Dy 0.378 0.731 0.647
Er 0.064 0.379 0.685
Er 0.449 0.583 0.867
Er 0.694 0.379 0.315
Er 0.716 0.583 0.133
Ni 0.309 0.071 0.238
Ni 0.833 0.071 0.762
Te 0.339 0.339 0.000
Te 0.734 0.234 0.500



# 8
For DyEr6Ni2Te2, a crystal structure in OQMD, relaxed with PBE gives the simulated powder diffractogram in this record (λ = 1.5418 Å (Cu Kα)).
Intensities are scaled so that the largest is 100.

Principal peaks in the range 2θ = 5–70°, by intensity:
2theta, I (rel.)
34.25, 100
33.20, 79
34.75, 75
30.54, 51
59.16, 31
47.48, 30
29.03, 22
36.84, 22
30.35, 22
38.69, 19

Structure:
abc: 9.285 9.285 9.285
angles: 156.19 66.92 118.50
Fractional coordinates of all 11 atoms:
Dy 0.000 0.000 0.000
Er 0.064 0.379 0.685
Er 0.084 0.730 0.353
Er 0.377 0.730 0.647
Er 0.450 0.583 0.867
Er 0.694 0.379 0.315
Er 0.716 0.583 0.133
Ni 0.309 0.072 0.238
Ni 0.834 0.072 0.762
Te 0.337 0.337 0.000
Te 0.735 0.235 0.500



# 9
For Dy6ErNi2Te2, a crystal structure in OQMD, relaxed with PBE gives the simulated powder diffractogram in this record (λ = 1.5418 Å (Cu Kα)).
Intensities are scaled so that the largest is 100.

Principal peaks in the range 2θ = 5–70°, by intensity:
2theta, I (rel.)
34.02, 100
32.98, 78
30.38, 51
34.53, 49
58.81, 30
47.24, 29
50.99, 23
34.42, 23
30.07, 22
28.84, 22

Structure:
abc: 9.359 9.359 9.359
angles: 156.27 66.72 118.67
Fractional coordinates of all 11 atoms:
Dy 0.111 0.796 0.315
Dy 0.133 0.000 0.133
Dy 0.481 0.796 0.685
Dy 0.501 0.148 0.354
Dy 0.794 0.148 0.646
Dy 0.867 0.000 0.867
Er 0.417 0.417 0.000
Ni 0.252 0.489 0.763
Ni 0.726 0.489 0.237
Te 0.152 0.652 0.500
Te 0.754 0.754 0.000



# 10
For Dy2Er5Ni2Te2, a crystal structure in OQMD, relaxed with PBE gives the simulated powder diffractogram in this record (λ = 1.5418 Å (Cu Kα)).
Intensities are scaled so that the largest is 100.

Principal peaks in the range 2θ = 5–70°, by intensity:
2theta, I (rel.)
34.28, 100
33.24, 77
34.78, 72
30.57, 51
59.22, 30
47.51, 29
30.37, 21
36.88, 21
29.05, 21
38.74, 18

Structure:
abc: 9.276 9.276 9.276
angles: 156.19 66.89 118.53
Fractional coordinates of all 11 atoms:
Dy 0.185 0.000 0.185
Dy 0.815 0.000 0.815
Er 0.121 0.621 0.500
Er 0.205 0.351 0.854
Er 0.498 0.351 0.146
Er 0.571 0.204 0.367
Er 0.837 0.204 0.633
Ni 0.430 0.693 0.738
Ni 0.955 0.693 0.262
Te 0.458 0.958 0.500
Te 0.856 0.856 0.000



# 11
For Dy2Er5Ni2Te2, a crystal structure in OQMD, relaxed with PBE gives the simulated powder diffractogram in this record (λ = 1.5418 Å (Cu Kα)).
Intensities are scaled so that the largest is 100.

Principal peaks in the range 2θ = 5–70°, by intensity:
2theta, I (rel.)
34.18, 100
33.11, 80
34.66, 75
30.49, 51
59.06, 31
47.43, 29
30.24, 22
36.78, 22
28.97, 22
38.62, 18

Structure:
abc: 9.313 9.313 9.313
angles: 156.24 66.84 118.56
Fractional coordinates of all 11 atoms:
Dy 0.146 0.000 0.146
Dy 0.854 0.000 0.854
Er 0.167 0.352 0.815
Er 0.231 0.731 0.500
Er 0.515 0.148 0.367
Er 0.536 0.352 0.185
Er 0.781 0.148 0.633
Ni 0.397 0.659 0.738
Ni 0.921 0.659 0.262
Te 0.496 0.496 0.000
Te 0.892 0.392 0.500



# 12
For Dy5Er2Ni2Te2, a crystal structure in OQMD, relaxed with PBE gives the simulated powder diffractogram in this record (λ = 1.5418 Å (Cu Kα)).
Intensities are scaled so that the largest is 100.

Principal peaks in the range 2θ = 5–70°, by intensity:
2theta, I (rel.)
34.04, 100
33.01, 78
34.53, 73
30.39, 51
58.84, 30
47.25, 29
51.04, 23
30.12, 22
36.66, 21
28.86, 21

Structure:
abc: 9.348 9.348 9.348
angles: 156.25 66.78 118.62
Fractional coordinates of all 11 atoms:
Dy 0.000 0.000 0.000
Dy 0.064 0.379 0.685
Dy 0.085 0.731 0.354
Dy 0.377 0.731 0.646
Dy 0.694 0.379 0.315
Er 0.450 0.583 0.867
Er 0.716 0.583 0.133
Ni 0.310 0.072 0.238
Ni 0.834 0.072 0.762
Te 0.338 0.338 0.000
Te 0.734 0.234 0.500